[1]
For CeCd5Hg2, DFT lattice parameters and positions (PBE) gives the theoretical powder X-ray diffraction pattern in this record (λ = 1.5418 Å (Cu Kα)).
Lines closer than 0.1° are merged.

Largest 6 diffraction maxima, low angle first, 10 to 90 degrees two-theta:
two_theta	I/Imax
28.68	50
30.89	49
32.44	100
38.14	51
39.09	63
42.85	36

Atomic structure:
```
CeCd5Hg2
1.0
4.221 0.000 0.000
0.000 8.537 0.000
0.000 0.000 10.952
Ce Cd Hg
2 10 4
direct
0.000 0.000 0.000
0.500 0.500 0.500
0.000 0.190 0.363
0.000 0.190 0.637
0.000 0.500 0.000
0.000 0.810 0.363
0.000 0.810 0.637
0.500 0.000 0.500
0.500 0.310 0.137
0.500 0.310 0.863
0.500 0.690 0.137
0.500 0.690 0.863
0.000 0.500 0.273
0.000 0.500 0.727
0.500 0.000 0.227
0.500 0.000 0.773
```

=====

[2]
For CeCd3Hg4, DFT lattice parameters and positions (PBE) gives the theoretical powder X-ray diffraction pattern in this record (λ = 1.5418 Å (Cu Kα)).
Lines closer than 0.1° are merged.

Largest 6 diffraction maxima, low angle first, 10 to 90 degrees two-theta:
two_theta	I/Imax
34.07	100
36.48	42
52.55	16
59.38	21
64.11	32
71.74	11

Atomic structure:
```
CeCd3Hg4
1.0
9.856 0.000 0.000
0.000 8.032 0.000
0.000 0.000 4.925
Ce Cd Hg
2 6 8
direct
0.000 0.000 0.000
0.500 0.000 0.000
0.000 0.500 0.000
0.250 0.000 0.499
0.250 0.500 0.498
0.500 0.500 0.000
0.750 0.000 0.501
0.750 0.500 0.502
0.000 0.261 0.500
0.000 0.739 0.500
0.250 0.261 0.998
0.250 0.739 0.998
0.500 0.261 0.500
0.500 0.739 0.500
0.750 0.261 0.002
0.750 0.739 0.002
```

=====

[3]
For Ce2CdHg2, DFT lattice parameters and positions (PBE) gives the theoretical powder X-ray diffraction pattern in this record (λ = 1.5418 Å (Cu Kα)).
Lines closer than 0.1° are merged.

Largest 6 diffraction maxima, low angle first, 10 to 90 degrees two-theta:
two_theta	I/Imax
32.99	82
34.04	35
34.28	100
36.02	47
50.40	24
63.65	17

Atomic structure:
```
Ce2CdHg2
1.0
5.529 -2.493 0.000
5.529 2.493 0.000
-2.533 0.000 9.380
Ce Cd Hg
4 2 4
direct
0.044 0.044 0.376
0.168 0.168 0.056
0.832 0.832 0.944
0.956 0.956 0.624
0.263 0.263 0.707
0.737 0.737 0.293
0.357 0.357 0.408
0.474 0.474 0.143
0.526 0.526 0.857
0.643 0.643 0.592
```

=====

[4]
For Ce3Cd3Hg2, DFT lattice parameters and positions (PBE) gives the theoretical powder X-ray diffraction pattern in this record (λ = 1.5418 Å (Cu Kα)).
Lines closer than 0.1° are merged.

Largest 6 diffraction maxima, low angle first, 10 to 90 degrees two-theta:
two_theta	I/Imax
33.32	100
36.72	20
37.02	19
42.05	13
53.12	13
63.97	15

Atomic structure:
```
Ce3Cd3Hg2
1.0
17.846 0.000 0.000
0.000 4.895 0.000
-1.306 0.000 4.678
Ce Cd Hg
6 6 4
direct
0.000 0.000 0.000
0.129 0.000 0.631
0.371 0.500 0.369
0.500 0.500 0.000
0.629 0.500 0.631
0.871 0.000 0.369
0.000 0.500 0.500
0.134 0.500 0.135
0.366 0.000 0.865
0.500 0.000 0.500
0.634 0.000 0.135
0.866 0.500 0.865
0.248 0.000 0.248
0.252 0.500 0.752
0.748 0.500 0.248
0.752 0.000 0.752
```